Record 1
Starting from DFT lattice parameters and positions (PBE), the powder XRD pattern of CaSnS3 was calculated for λ = 1.5418 Å (Cu Kα).
Lines closer than 0.1° are merged.

Structure:
```
CaSnS3
1.0
3.379 1.951 6.218
-3.379 1.951 6.218
0.000 -3.902 6.218
Ca Sn S
2 2 6
direct
0.140 0.140 0.140
0.860 0.860 0.860
0.344 0.344 0.344
0.656 0.656 0.656
0.059 0.466 0.714
0.286 0.941 0.534
0.466 0.714 0.059
0.534 0.286 0.941
0.714 0.059 0.466
0.941 0.534 0.286
```

Largest 8 diffraction maxima, in order of rising 2θ, 2θ from 5° to 70°:
two_theta  d_spacing  I_rel
14.24  6.218  47
17.89  4.957  55
24.41  3.647  71
26.38  3.379  62
30.10  2.969  81
36.24  2.479  43
39.39  2.288  100
46.56  1.951  54

---

Record 2
Starting from DFT lattice parameters and positions (PBE), the powder XRD pattern of CaSnS3 was calculated for λ = 1.5418 Å (Cu Kα).
Lines closer than 0.1° are merged.

Structure:
```
CaSnS3
1.0
-4.929 3.444 3.504
4.929 -3.444 3.504
4.929 3.444 -3.504
Ca Sn S
2 2 6
direct
0.031 0.250 0.281
0.969 0.750 0.719
0.473 0.473 0.000
0.473 0.973 0.500
0.283 0.659 0.124
0.487 0.302 0.336
0.487 0.651 0.685
0.535 0.159 0.876
0.966 0.151 0.664
0.966 0.802 0.315
```

Largest 8 diffraction maxima, in order of rising 2θ, 2θ from 5° to 70°:
two_theta  d_spacing  I_rel
18.04  4.917  78
25.42  3.504  17
25.60  3.480  100
36.58  2.456  49
41.02  2.200  37
44.94  2.017  49
45.24  2.004  18
45.46  1.995  34

---

Record 3
Starting from DFT lattice parameters and positions (PBE), the powder XRD pattern of CaSnS3 was calculated for λ = 1.5418 Å (Cu Kα).
Lines closer than 0.1° are merged.

Structure:
```
CaSnS3
1.0
14.033 0.000 0.000
0.000 4.782 0.000
0.000 0.000 7.855
Ca Sn S
4 4 12
direct
0.000 0.059 0.000
0.000 0.941 0.500
0.500 0.245 0.395
0.500 0.755 0.895
0.213 0.444 0.737
0.213 0.556 0.237
0.787 0.444 0.737
0.787 0.556 0.237
0.000 0.441 0.679
0.000 0.559 0.179
0.151 0.055 0.256
0.151 0.945 0.756
0.321 0.463 0.991
0.321 0.537 0.491
0.500 0.254 0.736
0.500 0.746 0.236
0.679 0.463 0.991
0.679 0.537 0.491
0.849 0.055 0.256
0.849 0.945 0.756
```

Largest 8 diffraction maxima, in order of rising 2θ, 2θ from 5° to 70°:
two_theta  d_spacing  I_rel
6.30  14.033  66
18.55  4.782  69
22.50  3.951  98
22.64  3.927  58
29.70  3.008  100
39.25  2.295  68
39.43  2.285  49
43.94  2.061  69

---

Record 4
Starting from DFT lattice parameters and positions (PBE), the powder XRD pattern of CaSnS3 was calculated for λ = 1.5418 Å (Cu Kα).
Lines closer than 0.1° are merged.

Structure:
```
CaSnS3
1.0
3.539 2.044 5.428
-3.539 2.044 5.428
0.000 -4.087 5.428
Ca Sn S
2 2 6
direct
0.250 0.250 0.250
0.750 0.750 0.750
0.000 0.000 0.000
0.500 0.500 0.500
0.140 0.750 0.360
0.250 0.640 0.860
0.360 0.140 0.750
0.640 0.860 0.250
0.750 0.360 0.140
0.860 0.250 0.640
```

Largest 8 diffraction maxima, in order of rising 2θ, 2θ from 5° to 70°:
two_theta  d_spacing  I_rel
18.11  4.898  100
25.16  3.539  69
26.28  3.391  95
30.14  2.965  37
36.70  2.449  82
41.95  2.154  40
44.33  2.044  56
45.02  2.014  54

---

Record 5
Starting from DFT lattice parameters and positions (PBE), the powder XRD pattern of CaSnS3 was calculated for λ = 1.5418 Å (Cu Kα).
Lines closer than 0.1° are merged.

Structure:
```
CaSnS3
1.0
6.874 0.000 0.000
-3.437 5.953 0.000
0.000 0.000 12.253
Ca Sn S
4 4 12
direct
0.000 0.000 0.000
0.000 0.000 0.500
0.333 0.667 0.250
0.667 0.333 0.750
0.333 0.667 0.623
0.333 0.667 0.877
0.667 0.333 0.123
0.667 0.333 0.377
0.000 0.500 0.000
0.000 0.500 0.500
0.163 0.326 0.750
0.163 0.837 0.750
0.326 0.163 0.250
0.500 0.000 0.000
0.500 0.000 0.500
0.500 0.500 0.000
0.500 0.500 0.500
0.674 0.837 0.750
0.837 0.163 0.250
0.837 0.674 0.250
```

Largest 8 diffraction maxima, in order of rising 2θ, 2θ from 5° to 70°:
two_theta  d_spacing  I_rel
14.88  5.953  43
16.56  5.354  100
25.92  3.437  62
26.47  3.368  46
33.47  2.677  42
37.38  2.405  53
39.40  2.287  31
53.31  1.718  33

---

Record 6
Starting from DFT lattice parameters and positions (PBE), the powder XRD pattern of CaSn2S5 was calculated for λ = 1.5418 Å (Cu Kα).
Lines closer than 0.1° are merged.

Structure:
```
CaSn2S5
1.0
4.124 0.000 0.000
0.000 15.726 0.000
0.000 0.000 6.364
Ca Sn S
2 4 10
direct
0.250 0.250 0.111
0.750 0.750 0.889
0.250 0.605 0.384
0.250 0.895 0.384
0.750 0.105 0.616
0.750 0.395 0.616
0.250 0.075 0.398
0.250 0.425 0.398
0.250 0.628 0.021
0.250 0.750 0.563
0.250 0.872 0.021
0.750 0.128 0.979
0.750 0.250 0.437
0.750 0.372 0.979
0.750 0.575 0.602
0.750 0.925 0.602
```

Largest 8 diffraction maxima, in order of rising 2θ, 2θ from 5° to 70°:
two_theta  d_spacing  I_rel
13.91  6.364  100
21.97  4.046  61
22.28  3.989  62
22.62  3.931  60
25.74  3.461  90
27.52  3.241  65
42.63  2.121  85
48.27  1.885  52

---

Record 7
Starting from DFT lattice parameters and positions (PBE), the powder XRD pattern of CaSnS3 was calculated for λ = 1.5418 Å (Cu Kα).
Lines closer than 0.1° are merged.

Structure:
```
CaSnS3
1.0
1.979 -7.474 0.000
1.979 7.474 0.000
0.000 0.000 8.112
Ca Sn S
2 2 6
direct
0.204 0.796 0.750
0.796 0.204 0.250
0.500 0.500 0.000
0.500 0.500 0.500
0.013 0.987 0.750
0.339 0.661 0.006
0.339 0.661 0.494
0.661 0.339 0.506
0.661 0.339 0.994
0.987 0.013 0.250
```

Largest 8 diffraction maxima, in order of rising 2θ, 2θ from 5° to 70°:
two_theta  d_spacing  I_rel
11.84  7.474  47
21.91  4.056  20
23.25  3.825  34
23.81  3.737  22
24.98  3.565  20
32.17  2.783  100
36.05  2.491  22
44.04  2.056  47

---

Record 8
Starting from DFT lattice parameters and positions (PBE), the powder XRD pattern of Ca4Sn3S10 was calculated for λ = 1.5418 Å (Cu Kα).
Lines closer than 0.1° are merged.

Structure:
```
Ca4Sn3S10
1.0
7.165 0.000 0.000
0.000 6.793 0.000
-3.236 0.000 16.658
Ca Sn S
8 6 20
direct
0.028 0.000 0.405
0.229 0.465 0.143
0.273 0.525 0.861
0.469 0.976 0.592
0.531 0.476 0.408
0.727 0.025 0.139
0.771 0.965 0.857
0.972 0.500 0.595
0.111 0.990 0.711
0.250 0.994 0.000
0.391 0.994 0.288
0.609 0.494 0.712
0.750 0.494 0.000
0.889 0.490 0.289
0.054 0.670 0.971
0.056 0.177 0.245
0.080 0.880 0.568
0.133 0.127 0.856
0.208 0.679 0.323
0.297 0.293 0.668
0.371 0.859 0.144
0.413 0.099 0.431
0.441 0.805 0.753
0.460 0.304 0.037
0.540 0.804 0.963
0.559 0.305 0.247
0.587 0.599 0.569
0.629 0.359 0.856
0.703 0.793 0.332
0.792 0.179 0.677
0.867 0.627 0.144
0.920 0.380 0.432
0.944 0.677 0.755
0.946 0.170 0.029
```

Largest 8 diffraction maxima, in order of rising 2θ, 2θ from 5° to 70°:
two_theta  d_spacing  I_rel
15.96  5.553  47
18.18  4.879  95
24.86  3.582  41
25.84  3.449  66
26.22  3.399  100
36.46  2.465  59
46.05  1.971  43
46.27  1.962  38